No. 1
The following is a calculated PXRD pattern of K2SiF6. It was derived from a crystal structure in the Materials Project, relaxed with GGA-PBE, using Cu Kα (λ = 1.5418 Å).
Kinematic intensities with the Lorentz-polarization factor, no thermal factor.

Cell and atoms:
Cell lengths 5.7378, 5.7378, 9.4145 Å; angles 90.00, 90.00, 120.00 degrees
Element x y z (fractional)
K 0.0000 0.0000 0.0000
K 0.0000 0.0000 0.5000
K 0.3333 0.6667 0.2793
K 0.6667 0.3333 0.7793
Si 0.3333 0.6667 0.6633
Si 0.6667 0.3333 0.1633
F 0.0520 0.5260 0.5564
F 0.1904 0.3807 0.7660
F 0.1904 0.8096 0.7660
F 0.3807 0.1904 0.2660
F 0.4740 0.5260 0.5564
F 0.4740 0.9480 0.5564
F 0.5260 0.0520 0.0564
F 0.5260 0.4740 0.0564
F 0.6193 0.8096 0.7660
F 0.8096 0.1904 0.2660
F 0.8096 0.6193 0.2660
F 0.9480 0.4740 0.0564

Largest 8 diffraction maxima, low angle first, 2θ = 10–90°:
2theta	I/Imax
20.2	43
26.1	59
31.2	38
37.4	29
38.2	23
41.1	100
46.6	31
65.0	21



No. 2
The following is a calculated PXRD pattern of Sm2Ni7. It was derived from a crystal structure in the Materials Project, relaxed with GGA-PBE, using Cu Kα (λ = 1.5418 Å).
Kinematic intensities with the Lorentz-polarization factor, no thermal factor.

Cell and atoms:
Cell lengths 12.5497, 12.5497, 12.5497 Å; angles 22.77, 22.77, 22.77 degrees
Element x y z (fractional)
Sm 0.0507 0.0507 0.0507
Sm 0.1474 0.1474 0.1474
Sm 0.8526 0.8526 0.8526
Sm 0.9493 0.9493 0.9493
Ni 0.0000 0.5000 0.5000
Ni 0.1098 0.6090 0.6090
Ni 0.2783 0.2783 0.2783
Ni 0.3880 0.3880 0.3880
Ni 0.3910 0.3910 0.8902
Ni 0.3910 0.8902 0.3910
Ni 0.5000 0.0000 0.5000
Ni 0.5000 0.5000 0.0000
Ni 0.5000 0.5000 0.5000
Ni 0.6090 0.1098 0.6090
Ni 0.6090 0.6090 0.1098
Ni 0.6120 0.6120 0.6120
Ni 0.7217 0.7217 0.7217
Ni 0.8902 0.3910 0.3910

Largest 8 diffraction maxima, low angle first, 2θ = 10–90°:
2theta	I/Imax
32.1	42
34.1	33
36.3	47
42.2	35
42.7	100
44.5	16
69.7	22
77.0	21



No. 3
The following is a calculated PXRD pattern of Sm3BS3O3. It was derived from a crystal structure in the Materials Project, relaxed with GGA-PBE, using Cu Kα (λ = 1.5418 Å).
Kinematic intensities with the Lorentz-polarization factor, no thermal factor.

Cell and atoms:
Cell lengths 4.0507, 7.7155, 11.3106 Å; angles 91.05, 91.44, 90.57 degrees
Element x y z (fractional)
Sm 0.2271 0.2382 0.0057
Sm 0.2295 0.6300 0.6761
Sm 0.2653 0.1392 0.6474
Sm 0.7347 0.8608 0.3526
Sm 0.7705 0.3700 0.3239
Sm 0.7729 0.7618 0.9943
B 0.3909 0.5602 0.1485
B 0.6091 0.4398 0.8515
S 0.2346 0.6269 0.4178
S 0.2512 0.9411 0.8607
S 0.2531 0.1160 0.3949
S 0.7469 0.8840 0.6051
S 0.7488 0.0589 0.1393
S 0.7654 0.3731 0.5822
O 0.2650 0.6292 0.0455
O 0.2811 0.4016 0.1889
O 0.3248 0.3634 0.8012
O 0.6752 0.6366 0.1988
O 0.7189 0.5984 0.8111
O 0.7350 0.3708 0.9545

Largest 8 diffraction maxima, low angle first, 2θ = 10–90°:
2theta	I/Imax
23.1	34
23.6	100
24.2	38
28.3	45
31.9	24
32.2	31
32.9	25
44.8	28



No. 4
The following is a calculated PXRD pattern of IrO3. It was derived from a crystal structure in the Materials Project, relaxed with GGA-PBE, using Cu Kα (λ = 1.5418 Å).
Kinematic intensities with the Lorentz-polarization factor, no thermal factor.

Cell and atoms:
Cell lengths 5.1017, 5.1017, 7.3413 Å; angles 90.00, 90.00, 91.28 degrees
Element x y z (fractional)
Ir 0.0000 0.5000 0.0000
Ir 0.0000 0.5000 0.5000
Ir 0.5000 0.0000 0.0000
Ir 0.5000 0.0000 0.5000
O 0.0519 0.5980 0.2500
O 0.1716 0.8284 0.5737
O 0.1716 0.8284 0.9263
O 0.3291 0.3291 0.0000
O 0.3291 0.3291 0.5000
O 0.4020 0.9481 0.2500
O 0.5980 0.0519 0.7500
O 0.6709 0.6709 0.0000
O 0.6709 0.6709 0.5000
O 0.8284 0.1716 0.0737
O 0.8284 0.1716 0.4263
O 0.9481 0.4020 0.7500

Largest 8 diffraction maxima, low angle first, 2θ = 10–90°:
2theta	I/Imax
24.2	100
24.4	97
25.0	85
34.7	53
35.1	62
35.2	63
43.2	61
56.4	40



No. 5
The following is a calculated PXRD pattern of UB8O17. It was derived from a crystal structure in the Materials Project, relaxed with GGA-PBE, using Cu Kα (λ = 1.5418 Å).
Kinematic intensities with the Lorentz-polarization factor, no thermal factor.

Cell and atoms:
Cell lengths 8.9771, 8.9771, 11.1252 Å; angles 90.01, 90.01, 136.86 degrees
Element x y z (fractional)
U 0.2315 0.7685 0.5000
U 0.7685 0.2315 0.0000
B 0.0337 0.5726 0.2014
B 0.1250 0.2453 0.3312
B 0.2453 0.1250 0.8312
B 0.2752 0.4007 0.7477
B 0.3138 0.6978 0.8364
B 0.3466 0.7488 0.0645
B 0.3533 0.4951 0.1695
B 0.3695 0.9660 0.2373
B 0.4007 0.2752 0.2477
B 0.4951 0.3533 0.6695
B 0.5726 0.0337 0.7014
B 0.6978 0.3138 0.3364
B 0.7488 0.3466 0.5645
B 0.8387 0.9550 0.4676
B 0.9550 0.8387 0.9676
B 0.9660 0.3695 0.7373
O 0.0733 0.5090 0.8443
O 0.0787 0.3225 0.6888
O 0.1054 0.5911 0.0868
O 0.1414 0.8878 0.5303
O 0.1479 0.9562 0.9086
O 0.1653 0.7441 0.2811
O 0.1861 0.2306 0.8350
O 0.1867 0.4014 0.2529
O 0.2306 0.1861 0.3350
O 0.3225 0.0787 0.1888
O 0.3334 0.6605 0.4715
O 0.3751 0.8250 0.7248
O 0.3954 0.6035 0.8175
O 0.4014 0.1867 0.7529
O 0.4095 0.8349 0.9423
O 0.4196 0.6545 0.0947
O 0.4236 0.4455 0.6622
O 0.4455 0.4236 0.1622
O 0.4685 0.9507 0.1393
O 0.5090 0.0733 0.3443
O 0.5911 0.1054 0.5868
O 0.6035 0.3954 0.3175
O 0.6545 0.4196 0.5947
O 0.6605 0.3334 0.9715
O 0.7344 0.7589 0.4181
O 0.7441 0.1653 0.7811
O 0.7589 0.7344 0.9181
O 0.7803 0.9062 0.5852
O 0.8250 0.3751 0.2248
O 0.8349 0.4095 0.4423
O 0.8878 0.1414 0.0303
O 0.9062 0.7803 0.0852
O 0.9507 0.4685 0.6393
O 0.9562 0.1479 0.4086

Largest 8 diffraction maxima, low angle first, 2θ = 10–90°:
2theta	I/Imax
10.6	100
15.9	20
16.5	78
19.2	36
22.4	59
28.1	47
33.3	24
43.3	20



No. 6
The following is a calculated PXRD pattern of LiNb2Te4Cl10O. It was derived from a crystal structure in the Materials Project, relaxed with GGA-PBE, using Cu Kα (λ = 1.5418 Å).
Kinematic intensities with the Lorentz-polarization factor, no thermal factor.

Cell and atoms:
Cell lengths 6.8654, 8.8786, 9.6327 Å; angles 79.96, 87.94, 74.39 degrees
Element x y z (fractional)
Li 0.0000 0.0000 0.0000
Nb 0.2724 0.3030 0.9566
Nb 0.3152 0.5757 0.2200
Te 0.6076 0.0265 0.4191
Te 0.6961 0.7375 0.5948
Te 0.8835 0.1189 0.5626
Te 0.9918 0.8220 0.7252
Cl 0.1285 0.1431 0.1441
Cl 0.1597 0.4229 0.3901
Cl 0.2062 0.0968 0.8090
Cl 0.3345 0.7492 0.3820
Cl 0.4062 0.4289 0.7559
Cl 0.4553 0.7243 0.0366
Cl 0.6022 0.1214 0.0101
Cl 0.6414 0.4068 0.2924
Cl 0.9391 0.4571 0.8789
Cl 0.9812 0.7449 0.1429
O 0.2963 0.4334 0.0810

Largest 8 diffraction maxima, low angle first, 2θ = 10–90°:
2theta	I/Imax
12.8	30
15.2	30
16.3	100
19.9	40
20.4	34
23.0	29
25.5	33
31.1	37



No. 7
The following is a calculated PXRD pattern of SiBi2O5. It was derived from a crystal structure in the Materials Project, relaxed with GGA-PBE, using Cu Kα (λ = 1.5418 Å).
Kinematic intensities with the Lorentz-polarization factor, no thermal factor.

Cell and atoms:
Cell lengths 8.1896, 8.1896, 5.3924 Å; angles 90.00, 90.00, 39.64 degrees
Element x y z (fractional)
Si 0.1769 0.8231 0.5000
Si 0.8231 0.1769 0.0000
Bi 0.1147 0.5534 0.9345
Bi 0.4466 0.8853 0.9345
Bi 0.5534 0.1147 0.4345
Bi 0.8853 0.4466 0.4345
O 0.0299 0.9701 0.2289
O 0.2339 0.5848 0.5242
O 0.2387 0.2592 0.2076
O 0.2592 0.2387 0.7076
O 0.4152 0.7661 0.5242
O 0.5848 0.2339 0.0242
O 0.7408 0.7613 0.2076
O 0.7613 0.7408 0.7076
O 0.7661 0.4152 0.0242
O 0.9701 0.0299 0.7289

Largest 8 diffraction maxima, low angle first, 2θ = 10–90°:
2theta	I/Imax
11.5	33
23.7	22
28.9	100
32.2	14
33.2	16
47.0	15
56.7	15
59.0	16



Repeat the fifth record exactly.
The following is a calculated PXRD pattern of UB8O17. It was derived from a crystal structure in the Materials Project, relaxed with GGA-PBE, using Cu Kα (λ = 1.5418 Å).
Kinematic intensities with the Lorentz-polarization factor, no thermal factor.

Cell and atoms:
Cell lengths 8.9771, 8.9771, 11.1252 Å; angles 90.01, 90.01, 136.86 degrees
Element x y z (fractional)
U 0.2315 0.7685 0.5000
U 0.7685 0.2315 0.0000
B 0.0337 0.5726 0.2014
B 0.1250 0.2453 0.3312
B 0.2453 0.1250 0.8312
B 0.2752 0.4007 0.7477
B 0.3138 0.6978 0.8364
B 0.3466 0.7488 0.0645
B 0.3533 0.4951 0.1695
B 0.3695 0.9660 0.2373
B 0.4007 0.2752 0.2477
B 0.4951 0.3533 0.6695
B 0.5726 0.0337 0.7014
B 0.6978 0.3138 0.3364
B 0.7488 0.3466 0.5645
B 0.8387 0.9550 0.4676
B 0.9550 0.8387 0.9676
B 0.9660 0.3695 0.7373
O 0.0733 0.5090 0.8443
O 0.0787 0.3225 0.6888
O 0.1054 0.5911 0.0868
O 0.1414 0.8878 0.5303
O 0.1479 0.9562 0.9086
O 0.1653 0.7441 0.2811
O 0.1861 0.2306 0.8350
O 0.1867 0.4014 0.2529
O 0.2306 0.1861 0.3350
O 0.3225 0.0787 0.1888
O 0.3334 0.6605 0.4715
O 0.3751 0.8250 0.7248
O 0.3954 0.6035 0.8175
O 0.4014 0.1867 0.7529
O 0.4095 0.8349 0.9423
O 0.4196 0.6545 0.0947
O 0.4236 0.4455 0.6622
O 0.4455 0.4236 0.1622
O 0.4685 0.9507 0.1393
O 0.5090 0.0733 0.3443
O 0.5911 0.1054 0.5868
O 0.6035 0.3954 0.3175
O 0.6545 0.4196 0.5947
O 0.6605 0.3334 0.9715
O 0.7344 0.7589 0.4181
O 0.7441 0.1653 0.7811
O 0.7589 0.7344 0.9181
O 0.7803 0.9062 0.5852
O 0.8250 0.3751 0.2248
O 0.8349 0.4095 0.4423
O 0.8878 0.1414 0.0303
O 0.9062 0.7803 0.0852
O 0.9507 0.4685 0.6393
O 0.9562 0.1479 0.4086

Largest 8 diffraction maxima, low angle first, 2θ = 10–90°:
2theta	I/Imax
10.6	100
15.9	20
16.5	78
19.2	36
22.4	59
28.1	47
33.3	24
43.3	20